This entry pairs a crystal structure of InTeI with its theoretical powder diffractogram. Radiation: CuKα. Structure: a GGA-PBE-relaxed structure.

Atomic structure:
Lattice parameters (Å, degrees): 4.4455 6.4393 9.2820 90.00 103.12 90.00
Atoms (fractional coordinates):
1 In 0.1975 0.0000 0.3892
2 In 0.8025 0.5000 0.6108
3 Te 0.3262 0.7747 0.6608
4 Te 0.6738 0.2747 0.3392
5 I 0.0847 0.7355 0.1516
6 I 0.9153 0.2355 0.8484

Principal peaks in the range 15° ≤ 2θ ≤ 90°, sorted by position:
hkl 0 1 2, 3.699 Å, intensity 100; hkl 1 1 0, 3.593 Å, intensity 65; hkl 1 1 -1, 3.578 Å, intensity 56; hkl 1 1 1, 3.142 Å, intensity 19; hkl 1 1 -2, 3.113 Å, intensity 19; hkl 1 2 1, 2.400 Å, intensity 26; hkl 1 2 -2, 2.387 Å, intensity 29; hkl 0 0 4, 2.260 Å, intensity 17; hkl 2 0 -1, 2.222 Å, intensity 38; hkl 1 2 2, 2.122 Å, intensity 33; hkl 1 2 -3, 2.107 Å, intensity 23; hkl 0 3 2, 1.939 Å, intensity 16